Record 1
The following is a simulated powder diffractogram of Pm4Nd2Hg. It was derived from a crystal structure in Alexandria, relaxed with GGA-PBE, using Cu Kα.

Cell and atoms:
Cell: 17.1215 3.6954 8.3337 Å, 90.00 116.38 90.00°
Space group C2/m (No. 12)
Unique sites:
Pm (0.0572, 0.0000, 0.2433) [4 per cell]
Pm (0.1468, 0.5000, 0.9736) [4 per cell]
Nd (0.2110, 0.5000, 0.6263) [4 per cell]
Hg (0.0000, 0.5000, 0.5000) [2 per cell]

Peak list (10 most intense, 10° ≤ 2θ ≤ 80°, by angle)
index  2theta  Rel. int.
1 1 -1  26.39  37
3 1 -1  29.09  34
4 0 1  30.58  76
6 0 -2  32.50  100
1 1 -2  32.75  81
5 1 -1  35.76  48
3 1 3  53.66  25
7 1 -4  54.38  25
4 2 1  59.15  27
6 2 -2  60.32  34



Record 2
The following is a simulated powder diffractogram of Pm4Nd9Hg11. It was derived from a crystal structure in Alexandria, relaxed with GGA-PBE, using Cu Kα.

Cell and atoms:
Cell: 16.0217 23.2484 3.6643 Å, 90.00 90.00 90.00°
Space group Cmmm (No. 65)
Unique sites:
Pm (0.1571, 0.0887, 0.0000) [8 per cell]
Nd (0.0000, 0.0000, 0.0000) [2 per cell]
Nd (0.1156, 0.2367, 0.0000) [8 per cell]
Nd (0.1170, 0.4114, 0.0000) [8 per cell]
Hg (0.0000, 0.1332, 0.5000) [4 per cell]
Hg (0.0000, 0.3247, 0.5000) [4 per cell]
Hg (0.0000, 0.5000, 0.5000) [2 per cell]
Hg (0.2332, 0.3217, 0.5000) [8 per cell]
Hg (0.2347, 0.5000, 0.5000) [4 per cell]

Peak list (10 most intense, 10° ≤ 2θ ≤ 80°, by angle)
index  2theta  Rel. int.
1 5 1  31.59  27
4 6 0  32.14  98
4 0 1  33.14  100
0 6 1  33.66  87
5 5 0  33.98  29
0 0 2  49.77  22
8 6 1  57.59  18
5 11 1  58.02  25
4 6 2  60.49  33
9 5 1  61.22  23



Record 3
The following is a simulated powder diffractogram of PmNd2Hg4. It was derived from a crystal structure in Alexandria, relaxed with GGA-PBE, using Cu Kα.

Cell and atoms:
Cell: 5.2223 5.2223 26.9377 Å, 90.00 90.00 120.00°
Space group R-3m (No. 166, hexagonal axes)
Unique sites:
Pm (0.0000, 0.0000, 0.0000) [3 per cell]
Nd (0.0000, 0.0000, 0.2434) [6 per cell]
Hg (0.0000, 0.0000, 0.1263) [6 per cell]
Hg (0.0000, 0.0000, 0.3743) [6 per cell]

Peak list (10 most intense, 10° ≤ 2θ ≤ 80°, by angle)
index  2theta  Rel. int.
1 0 4  23.70  20
0 1 8  33.17  100
1 1 0  34.34  94
2 0 8  48.49  35
1 0 16  58.50  18
1 2 8  60.77  36
3 0 0  61.51  18
0 2 16  69.62  11
2 2 0  72.38  11
2 1 16  79.99  15



- Number 1 is which compound?
  Pm4Nd2Hg